[1]
Structure and calculated X-ray powder pattern of NiS3 (a DFT-relaxed cell (PBE, Alexandria); Cu Kα X-rays).
Kinematic intensities with the Lorentz-polarization factor, no thermal factor.

The 10 most intense peaks (2θ from 10° to 90°), in order of rising 2θ:
hkl, 2theta, d_spacing, I_rel
0 2 0, 16.2, 5.456, 100
0 1 1, 22.9, 3.877, 26
0 3 1, 32.8, 2.734, 31
1 0 1, 34.6, 2.590, 32
1 3 0, 36.7, 2.451, 23
1 2 1, 38.5, 2.340, 50
0 2 2, 46.9, 1.938, 11
1 4 1, 48.5, 1.878, 43
1 1 2, 52.7, 1.736, 22
0 4 2, 55.7, 1.651, 15

Structural model:
a = 3.3160 Å, b = 10.9123 Å, c = 4.1471 Å
α = 90.00°, β = 90.00°, γ = 90.00°
Space group Imm2 (No. 44)
One atom of each set of equivalent atoms:
Ni1 0.0000 0.0000 0.0000 [2 per cell]
S1 0.0000 0.3638 0.7295 [4 per cell]
S2 0.0000 0.5000 0.1027 [2 per cell]

---

[2]
Structure and calculated X-ray powder pattern of Ni5S8 (a DFT-relaxed cell (PBE, Alexandria); Cu Kα X-rays).
Kinematic intensities with the Lorentz-polarization factor, no thermal factor.

The 10 most intense peaks (2θ from 10° to 90°), in order of rising 2θ:
hkl, 2theta, d_spacing, I_rel
1 1 1, 16.2, 5.455, 79
2 0 0, 18.8, 4.724, 17
3 1 1, 31.4, 2.849, 100
4 0 0, 38.1, 2.362, 97
5 1 1, 50.2, 1.818, 51
4 4 0, 55.0, 1.670, 99
5 3 1, 57.7, 1.597, 14
4 4 4, 68.8, 1.364, 18
5 5 3, 77.6, 1.230, 16
8 0 0, 81.5, 1.181, 14

Structural model:
a = 9.4482 Å, b = 9.4482 Å, c = 9.4482 Å
α = 90.00°, β = 90.00°, γ = 90.00°
Space group F-43m (No. 216)
One atom of each set of equivalent atoms:
Ni1 0.0000 0.0000 0.0000 [4 per cell]
Ni2 0.1228 0.1228 0.3772 [16 per cell]
S1 0.1144 0.1144 0.6144 [16 per cell]
S2 0.1343 0.1343 0.1343 [16 per cell]

---

[3]
Structure and calculated X-ray powder pattern of Ni2Sb3S3 (a DFT-relaxed cell (PBE, Alexandria); Cu Kα X-rays).
Kinematic intensities with the Lorentz-polarization factor, no thermal factor.

The 10 most intense peaks (2θ from 10° to 90°), in order of rising 2θ:
hkl, 2theta, d_spacing, I_rel
0 0 3, 17.7, 5.022, 18
2 1 1, 22.8, 3.895, 14
3 0 0, 25.0, 3.556, 16
4 -3 1, 30.8, 2.905, 31
3 1 2, 32.5, 2.754, 100
2 0 5, 34.2, 2.625, 15
2 3 2, 38.7, 2.328, 35
6 -2 2, 46.6, 1.947, 36
6 0 0, 51.4, 1.779, 17
1 4 6, 53.6, 1.709, 23

Structural model:
a = 12.3276 Å, b = 12.3276 Å, c = 15.0570 Å
α = 90.00°, β = 90.00°, γ = 120.00°
Space group R-3 (No. 148, hexagonal axes)
One atom of each set of equivalent atoms:
Ni1 0.0000 0.0000 0.2351 [6 per cell]
Ni2 0.0005 0.4954 0.2367 [18 per cell]
Sb1 0.0134 0.1735 0.3374 [18 per cell]
Sb2 0.0602 0.6034 0.6049 [18 per cell]
S1 0.0135 0.1754 0.8389 [18 per cell]
S2 0.0609 0.7905 0.4362 [18 per cell]

---

[4]
Structure and calculated X-ray powder pattern of Ni3Se4S2 (a DFT-relaxed cell (PBE, Alexandria); Cu Kα X-rays).
Kinematic intensities with the Lorentz-polarization factor, no thermal factor.

The 10 most intense peaks (2θ from 10° to 90°), in order of rising 2θ:
hkl, 2theta, d_spacing, I_rel
0 0 3, 16.0, 5.531, 78
1 0 0, 29.3, 3.049, 100
1 0 3, 33.6, 2.670, 22
1 0 4, 36.6, 2.457, 30
1 0 5, 40.2, 2.245, 50
1 0 6, 44.2, 2.048, 51
1 0 7, 48.7, 1.871, 36
1 1 0, 51.9, 1.760, 58
1 0 8, 53.4, 1.715, 22
1 1 3, 54.7, 1.677, 17

Structural model:
a = 3.5205 Å, b = 3.5205 Å, c = 16.5930 Å
α = 90.00°, β = 90.00°, γ = 120.00°
Space group P-6m2 (No. 187)
One atom of each set of equivalent atoms:
Ni1 0.0000 0.0000 0.0000 [1 per cell]
Ni2 0.3333 0.6667 0.3332 [2 per cell]
Se1 0.0000 0.0000 0.2533 [2 per cell]
Se2 0.0000 0.0000 0.4124 [2 per cell]
S1 0.3333 0.6667 0.0649 [2 per cell]

---

[5]
Structure and calculated X-ray powder pattern of Tl2SiNiS4 (a DFT-relaxed cell (PBE, Alexandria); Cu Kα X-rays).
Kinematic intensities with the Lorentz-polarization factor, no thermal factor.

The 10 most intense peaks (2θ from 10° to 90°), in order of rising 2θ:
hkl, 2theta, d_spacing, I_rel
1 1 1, 17.1, 5.179, 37
1 1 3, 20.3, 4.385, 86
1 1 5, 25.4, 3.504, 70
0 2 6, 27.0, 3.299, 75
0 4 0, 28.6, 3.125, 38
1 3 3, 28.7, 3.113, 93
1 3 5, 32.6, 2.746, 100
2 2 0, 33.7, 2.656, 63
2 0 6, 38.4, 2.341, 38
2 6 0, 54.0, 1.699, 37

Structural model:
a = 5.8683 Å, b = 12.5009 Å, c = 23.3072 Å
α = 90.00°, β = 90.00°, γ = 90.00°
Space group Fddd (No. 70, origin choice 2)
One atom of each set of equivalent atoms:
Tl1 0.1250 0.1250 0.3124 [16 per cell]
Si1 0.1250 0.1250 0.6250 [8 per cell]
Ni1 0.1250 0.1250 0.1250 [8 per cell]
S1 0.1060 0.2801 0.8259 [32 per cell]

---

[6]
Structure and calculated X-ray powder pattern of Ni3SnS (a DFT-relaxed cell (PBE, Alexandria); Cu Kα X-rays).
Kinematic intensities with the Lorentz-polarization factor, no thermal factor.

The 10 most intense peaks (2θ from 10° to 90°), in order of rising 2θ:
hkl, 2theta, d_spacing, I_rel
2 0 1, 29.9, 2.988, 24
0 0 2, 31.2, 2.869, 45
1 1 -2, 33.6, 2.665, 25
4 0 -1, 39.2, 2.299, 30
2 2 -1, 39.4, 2.285, 100
4 0 0, 41.9, 2.158, 38
4 0 -2, 42.9, 2.110, 24
2 0 -3, 44.7, 2.028, 24
2 2 1, 45.1, 2.011, 72
0 2 2, 46.0, 1.973, 29

Structural model:
a = 9.1979 Å, b = 5.4375 Å, c = 6.1152 Å
α = 90.00°, β = 110.24°, γ = 90.00°
Space group Cm (No. 8)
One atom of each set of equivalent atoms:
Ni1 0.0000 0.0000 0.0000 [2 per cell]
Ni2 0.0703 0.2312 0.6748 [4 per cell]
Ni3 0.2574 0.2368 0.1293 [4 per cell]
Ni4 0.2665 0.5000 0.5002 [2 per cell]
Sn1 0.0058 0.5000 0.1026 [2 per cell]
Sn2 0.3002 0.0000 0.5278 [2 per cell]
S1 0.2462 0.5000 0.8397 [2 per cell]
S2 0.4533 0.5000 0.3570 [2 per cell]